Entry 1:
This entry pairs a crystal structure of RbGaAgCl6 with its calculated X-ray diffraction stick pattern. Radiation: Cu Kα (weighted mean of Kα1 and Kα2). Structure: the GGA-PBE geometry in Alexandria.

Most intense lines, 10 to 80 degrees two-theta, by angle:
d = 7.212 Å, I 100; d = 4.701 Å, I 80; d = 4.435 Å, I 73; d = 4.375 Å, I 81; d = 3.229 Å, I 27; d = 2.925 Å, I 36; d = 2.599 Å, I 46; d = 2.453 Å, I 27; d = 2.374 Å, I 84; d = 1.963 Å, I 52

Structure:
```
RbGaAgCl6
1.0
6.518 0.000 0.000
-2.773 5.901 0.000
-0.275 -0.427 7.212
Rb Ga Ag Cl
1 1 1 6
direct
0.000 0.000 0.000 Rb
0.661 0.340 0.500 Ga
0.317 0.684 0.500 Ag
0.363 0.046 0.671 Cl
0.376 0.395 0.300 Cl
0.605 0.624 0.700 Cl
0.639 0.061 0.287 Cl
0.939 0.359 0.712 Cl
0.954 0.637 0.329 Cl
```



Entry 2:
This entry pairs a crystal structure of Dy2Si4Pd3 with its calculated X-ray diffraction stick pattern. Radiation: Cu Kα (weighted mean of Kα1 and Kα2). Structure: the GGA-PBE geometry in Alexandria.

Most intense lines, 10 to 80 degrees two-theta, by angle:
d = 3.315 Å, I 28; d = 3.278 Å, I 30; d = 2.631 Å, I 23; d = 2.606 Å, I 41; d = 2.475 Å, I 100; d = 2.314 Å, I 28; d = 2.243 Å, I 19; d = 2.228 Å, I 43; d = 1.550 Å, I 20; d = 1.478 Å, I 23

Structure:
```
Dy2Si4Pd3
1.0
2.812 -7.439 0.000
2.812 7.439 0.000
0.000 0.000 7.304
Dy Si Pd
4 8 6
direct
0.105 0.895 0.906 Dy
0.395 0.605 0.406 Dy
0.605 0.395 0.594 Dy
0.895 0.105 0.094 Dy
0.178 0.822 0.523 Si
0.187 0.313 0.750 Si
0.313 0.187 0.250 Si
0.322 0.678 0.023 Si
0.678 0.322 0.977 Si
0.687 0.813 0.750 Si
0.813 0.687 0.250 Si
0.822 0.178 0.477 Si
0.000 0.000 0.500 Pd
0.022 0.478 0.750 Pd
0.478 0.022 0.250 Pd
0.500 0.500 0.000 Pd
0.522 0.978 0.750 Pd
0.978 0.522 0.250 Pd
```



Entry 3:
This entry pairs a crystal structure of LaTb14Er with its calculated X-ray diffraction stick pattern. Radiation: Cu Kα (weighted mean of Kα1 and Kα2). Structure: the GGA-PBE geometry in Alexandria.

Most intense lines, 10 to 80 degrees two-theta, by angle:
d = 3.104 Å, I 8; d = 2.998 Å, I 42; d = 2.887 Å, I 34; d = 2.734 Å, I 100; d = 2.417 Å, I 23; d = 1.853 Å, I 11; d = 1.792 Å, I 26; d = 1.636 Å, I 21; d = 1.523 Å, I 30; d = 1.499 Å, I 16

Structure:
```
LaTb14Er
1.0
11.549 0.000 0.000
0.000 3.585 6.209
0.000 -3.585 6.209
La Tb Er
1 14 1
direct
0.000 0.000 0.000 La
0.000 0.000 0.501 Tb
0.000 0.501 0.000 Tb
0.249 0.334 0.334 Tb
0.252 0.334 0.833 Tb
0.252 0.833 0.334 Tb
0.253 0.833 0.833 Tb
0.500 0.167 0.167 Tb
0.500 0.167 0.666 Tb
0.500 0.666 0.167 Tb
0.500 0.667 0.667 Tb
0.747 0.833 0.833 Tb
0.748 0.334 0.833 Tb
0.748 0.833 0.334 Tb
0.751 0.334 0.334 Tb
0.000 0.501 0.501 Er
```



Copy entry 3 word for word.
This entry pairs a crystal structure of LaTb14Er with its calculated X-ray diffraction stick pattern. Radiation: Cu Kα (weighted mean of Kα1 and Kα2). Structure: the GGA-PBE geometry in Alexandria.

Most intense lines, 10 to 80 degrees two-theta, by angle:
d = 3.104 Å, I 8; d = 2.998 Å, I 42; d = 2.887 Å, I 34; d = 2.734 Å, I 100; d = 2.417 Å, I 23; d = 1.853 Å, I 11; d = 1.792 Å, I 26; d = 1.636 Å, I 21; d = 1.523 Å, I 30; d = 1.499 Å, I 16

Structure:
```
LaTb14Er
1.0
11.549 0.000 0.000
0.000 3.585 6.209
0.000 -3.585 6.209
La Tb Er
1 14 1
direct
0.000 0.000 0.000 La
0.000 0.000 0.501 Tb
0.000 0.501 0.000 Tb
0.249 0.334 0.334 Tb
0.252 0.334 0.833 Tb
0.252 0.833 0.334 Tb
0.253 0.833 0.833 Tb
0.500 0.167 0.167 Tb
0.500 0.167 0.666 Tb
0.500 0.666 0.167 Tb
0.500 0.667 0.667 Tb
0.747 0.833 0.833 Tb
0.748 0.334 0.833 Tb
0.748 0.833 0.334 Tb
0.751 0.334 0.334 Tb
0.000 0.501 0.501 Er
```